Cs2PPbO4: computed X-ray powder pattern (Cu Kα), based on a DFT-relaxed cell (PBE, Alexandria).

Structure:
```
Cs2PPbO4
1.0
0.000 6.123 11.761
3.137 0.000 11.761
3.137 6.123 0.000
Cs P Pb O
4 2 2 8
Cartesian
2.352 4.592 1.372 Cs
3.921 7.654 7.253 Cs
2.352 4.592 16.269 Cs
3.921 7.654 22.150 Cs
2.352 4.592 8.821 P
3.921 7.654 14.701 P
0.784 1.531 2.940 Pb
5.489 10.715 20.582 Pb
3.270 3.669 7.946 O
3.270 5.516 9.696 O
4.838 6.730 15.577 O
1.435 3.669 9.696 O
4.838 8.577 13.826 O
1.435 5.516 7.946 O
3.003 6.730 13.826 O
3.003 8.577 15.577 O
```

Top 10 peaks for 2θ = 10–90°, by angle:
2θ (°), Rel. int.
15.1, 61.3
16.3, 98.5
24.7, 77.2
26.3, 41.8
27.0, 100.0
29.2, 44.8
32.1, 73.5
32.4, 60.6
36.7, 42.5
47.5, 41.4

CsPPdO: computed X-ray powder pattern (Cu Kα), based on a DFT-relaxed cell (PBE, Alexandria).

Structure:
```
CsPPdO
1.0
4.500 0.000 0.000
0.000 3.487 0.000
-1.105 0.000 5.948
Cs P Pd O
1 1 1 1
Cartesian
0.000 0.000 0.000 Cs
2.528 1.744 2.667 P
1.108 0.000 3.229 Pd
-0.560 1.744 3.469 O
```

Top 10 peaks for 2θ = 10–90°, by angle:
2θ (°), Rel. int.
22.8, 88.7
25.5, 70.7
27.2, 95.7
30.0, 89.6
34.5, 100.0
37.7, 71.5
39.8, 48.1
40.8, 33.0
48.8, 48.3
54.0, 39.0

Cs2P4Pd3O14: computed X-ray powder pattern (Cu Kα), based on a DFT-relaxed cell (PBE, Alexandria).

Structure:
```
Cs2P4Pd3O14
1.0
3.858 -7.285 0.000
3.858 7.285 0.000
0.000 0.000 14.800
Cs P Pd O
4 8 6 28
Cartesian
3.858 6.188 7.400 Cs
3.858 4.037 3.365 Cs
3.858 -4.037 10.766 Cs
3.858 -6.188 0.000 Cs
2.426 4.225 14.126 P
2.423 0.116 2.959 P
2.423 -0.116 10.359 P
5.290 4.225 14.126 P
2.426 -4.225 6.725 P
5.293 0.116 2.959 P
5.293 -0.116 10.359 P
5.290 -4.225 6.725 P
3.858 5.786 11.924 Pd
3.858 1.986 12.317 Pd
3.858 1.733 8.372 Pd
3.858 -1.733 0.972 Pd
3.858 -1.986 4.916 Pd
3.858 -5.786 4.523 Pd
1.458 1.735 5.938 O
1.391 1.241 3.057 O
2.317 2.954 13.258 O
2.472 3.128 7.840 O
3.858 4.145 0.114 O
2.299 0.960 11.448 O
1.391 -1.241 10.457 O
2.386 0.429 8.914 O
1.458 -1.735 13.338 O
2.386 -0.429 1.514 O
2.299 -0.960 4.048 O
3.858 0.869 3.162 O
5.243 3.128 7.840 O
5.398 2.954 13.258 O
2.317 -2.954 5.857 O
2.472 -3.128 0.439 O
3.858 -0.869 10.562 O
5.417 0.960 11.448 O
5.330 0.429 8.914 O
6.258 1.735 5.938 O
5.330 -0.429 1.514 O
6.325 1.241 3.057 O
5.417 -0.960 4.048 O
3.858 -4.145 7.515 O
5.243 -3.128 0.439 O
5.398 -2.954 5.857 O
6.325 -1.241 10.457 O
6.258 -1.735 13.338 O
```

Top 10 peaks for 2θ = 10–90°, by angle:
2θ (°), Rel. int.
22.2, 90.0
22.5, 100.0
23.1, 27.2
27.4, 18.4
28.3, 39.0
28.8, 37.6
32.6, 18.6
33.6, 21.0
34.6, 21.2
42.0, 17.0

Cs3PmP2O8: computed X-ray powder pattern (Cu Kα), based on a DFT-relaxed cell (PBE, Alexandria).

Structure:
```
Cs3PmP2O8
1.0
5.906 0.000 0.000
-2.953 5.115 0.000
0.000 0.000 8.752
Cs Pm P O
3 1 2 8
Cartesian
0.000 0.000 0.000 Cs
0.000 3.410 6.748 Cs
2.953 1.705 2.004 Cs
0.000 0.000 4.376 Pm
0.000 3.410 2.509 P
2.953 1.705 6.244 P
0.000 1.934 3.040 O
-1.278 4.148 3.040 O
0.000 3.410 0.969 O
1.675 0.967 5.713 O
1.278 4.148 3.040 O
2.953 1.705 7.783 O
4.231 0.967 5.713 O
2.953 3.181 5.713 O
```

Top 10 peaks for 2θ = 10–90°, by angle:
2θ (°), Rel. int.
20.1, 15.0
26.8, 100.0
30.3, 70.1
36.6, 10.8
40.9, 32.7
51.7, 29.4
52.0, 23.0
53.8, 13.0
62.9, 10.8
69.7, 13.1

CsPrP4O12: computed X-ray powder pattern (Cu Kα), based on a DFT-relaxed cell (PBE, Alexandria).

Structure:
```
CsPrP4O12
1.0
7.260 0.000 0.000
0.000 9.351 0.000
-1.473 0.000 8.815
Cs Pr P O
2 2 8 24
Cartesian
0.979 0.000 1.522 Cs
4.808 4.676 7.293 Cs
1.148 1.547 6.153 Pr
4.639 6.222 2.663 Pr
0.253 5.041 4.787 P
1.062 5.534 1.999 P
2.912 3.647 0.637 P
2.264 7.243 5.505 P
3.523 2.567 3.310 P
2.876 8.323 8.178 P
4.726 0.858 6.817 P
5.535 0.366 4.028 P
-1.137 1.261 7.198 O
-0.418 1.031 4.333 O
0.245 3.775 5.582 O
1.466 4.332 0.994 O
1.065 4.752 3.420 O
1.144 6.093 5.623 O
2.150 6.568 2.030 O
1.651 8.582 5.240 O
1.239 2.966 8.148 O
1.756 9.310 8.008 O
2.404 2.061 4.163 O
2.998 2.488 1.767 O
2.790 7.164 7.049 O
3.384 6.736 4.652 O
4.032 4.634 0.807 O
4.549 7.641 0.668 O
4.137 3.907 3.575 O
3.638 1.892 6.785 O
4.644 1.418 3.192 O
4.723 0.077 5.396 O
4.321 9.007 7.821 O
5.543 8.450 3.234 O
6.206 5.707 4.482 O
6.925 5.937 1.617 O
```

Top 10 peaks for 2θ = 10–90°, by angle:
2θ (°), Rel. int.
13.8, 85.2
15.6, 84.0
19.7, 59.9
21.9, 74.4
22.7, 72.7
25.4, 64.4
25.7, 100.0
27.0, 59.4
30.4, 76.4
42.5, 47.5

CsPSO2: computed X-ray powder pattern (Cu Kα), based on a DFT-relaxed cell (PBE, Alexandria).

Structure:
```
CsPSO2
1.0
7.892 0.000 0.000
2.116 7.872 0.000
3.640 0.073 7.993
Cs P S O
4 4 4 8
Cartesian
1.929 1.318 1.127 Cs
5.271 5.066 2.648 Cs
8.378 2.880 5.345 Cs
11.720 6.627 6.866 Cs
4.269 1.613 4.665 P
7.968 7.219 5.853 P
5.681 0.726 2.140 P
9.379 6.332 3.328 P
4.721 3.107 5.874 S
7.427 5.954 7.265 S
6.222 1.992 0.728 S
8.927 4.838 2.119 S
2.905 1.560 4.056 O
4.490 0.153 5.406 O
5.443 1.612 3.512 O
6.666 7.649 1.893 O
6.983 0.296 6.100 O
8.205 6.333 4.481 O
9.159 7.792 2.588 O
10.744 6.386 3.938 O
```

Top 10 peaks for 2θ = 10–90°, by angle:
2θ (°), Rel. int.
20.0, 28.7
22.0, 27.8
23.2, 97.4
24.9, 38.5
25.1, 100.0
25.3, 75.3
26.3, 44.2
30.3, 46.8
31.1, 20.7
36.2, 24.2

Copy entry 1 word for word.
Cs2PPbO4: computed X-ray powder pattern (Cu Kα), based on a DFT-relaxed cell (PBE, Alexandria).

Structure:
```
Cs2PPbO4
1.0
0.000 6.123 11.761
3.137 0.000 11.761
3.137 6.123 0.000
Cs P Pb O
4 2 2 8
Cartesian
2.352 4.592 1.372 Cs
3.921 7.654 7.253 Cs
2.352 4.592 16.269 Cs
3.921 7.654 22.150 Cs
2.352 4.592 8.821 P
3.921 7.654 14.701 P
0.784 1.531 2.940 Pb
5.489 10.715 20.582 Pb
3.270 3.669 7.946 O
3.270 5.516 9.696 O
4.838 6.730 15.577 O
1.435 3.669 9.696 O
4.838 8.577 13.826 O
1.435 5.516 7.946 O
3.003 6.730 13.826 O
3.003 8.577 15.577 O
```

Top 10 peaks for 2θ = 10–90°, by angle:
2θ (°), Rel. int.
15.1, 61.3
16.3, 98.5
24.7, 77.2
26.3, 41.8
27.0, 100.0
29.2, 44.8
32.1, 73.5
32.4, 60.6
36.7, 42.5
47.5, 41.4